Starting from a GGA+U-relaxed structure, the powder X-ray diffraction pattern of NaCaMgCrSi4O12 was computed for Cu Kα (weighted mean of Kα1 and Kα2).
Neutral-atom scattering factors, no anomalous dispersion.

Main lines, by angle (2θ from 15° to 90°):
- 2θ 18.92, 4.691 Å, rel. 100
- 2θ 25.81, 3.452 Å, rel. 72
- 2θ 26.11, 3.413 Å, rel. 91
- 2θ 32.98, 2.716 Å, rel. 26
- 2θ 35.20, 2.549 Å, rel. 62
- 2θ 38.69, 2.327 Å, rel. 32
- 2θ 38.84, 2.319 Å, rel. 69
- 2θ 39.64, 2.274 Å, rel. 49
- 2θ 40.94, 2.204 Å, rel. 60
- 2θ 46.81, 1.941 Å, rel. 21

Atomic structure:
abc: 7.148 7.148 15.909
angles: 101.98 101.98 82.04
Element x y z (fractional)
1 Na 0.000 0.000 0.000
2 Na 0.286 0.412 0.840
3 Na 0.588 0.714 0.160
4 Ca 0.306 0.338 0.332
5 Ca 0.662 0.694 0.668
6 Ca 0.954 0.046 0.500
7 Mg 0.283 0.072 0.670
8 Mg 0.320 0.680 0.500
9 Mg 0.928 0.717 0.330
10 Cr 0.631 0.048 0.834
11 Cr 0.644 0.356 0.000
12 Cr 0.952 0.369 0.166
13 Si 0.129 0.732 0.657
14 Si 0.147 0.661 0.175
15 Si 0.268 0.871 0.343
16 Si 0.339 0.853 0.825
17 Si 0.449 0.065 0.994
18 Si 0.485 0.002 0.509
19 Si 0.607 0.227 0.674
20 Si 0.671 0.165 0.161
21 Si 0.773 0.393 0.326
22 Si 0.835 0.329 0.839
23 Si 0.935 0.551 0.006
24 Si 0.998 0.515 0.491
25 O 0.031 0.946 0.643
26 O 0.054 0.969 0.357
27 O 0.106 0.681 0.068
28 O 0.171 0.718 0.765
29 O 0.209 0.417 0.474
30 O 0.228 0.439 0.188
31 O 0.277 0.026 0.539
32 O 0.282 0.829 0.235
33 O 0.293 0.663 0.372
34 O 0.319 0.894 0.932
35 O 0.331 0.067 0.800
36 O 0.337 0.707 0.628
37 O 0.371 0.288 0.985
38 O 0.397 0.325 0.687
39 O 0.439 0.016 0.401
40 O 0.501 0.034 0.099
41 O 0.561 0.772 0.812
42 O 0.583 0.791 0.526
43 O 0.622 0.343 0.870
44 O 0.624 0.019 0.706
45 O 0.631 0.173 0.567
46 O 0.641 0.215 0.266
47 O 0.657 0.378 0.130
48 O 0.660 0.058 0.964
49 O 0.675 0.603 0.313
50 O 0.712 0.629 0.015
51 O 0.785 0.359 0.734
52 O 0.827 0.369 0.433
53 O 0.892 0.091 0.149
54 O 0.909 0.108 0.851
55 O 0.933 0.669 0.200
56 O 0.942 0.340 0.036
57 O 0.966 0.499 0.901
58 O 0.974 0.723 0.461
59 O 0.981 0.376 0.294
60 O 0.984 0.561 0.599

Starting from a GGA+U-relaxed structure, the powder X-ray diffraction pattern of NaCaMgCrSi4O12 was computed for Cu Kα (weighted mean of Kα1 and Kα2).
Neutral-atom scattering factors, no anomalous dispersion.

Main lines, by angle (2θ from 15° to 90°):
- 2θ 19.87, 4.467 Å, rel. 22
- 2θ 29.59, 3.018 Å, rel. 100
- 2θ 30.28, 2.952 Å, rel. 39
- 2θ 30.57, 2.924 Å, rel. 20
- 2θ 34.78, 2.579 Å, rel. 27
- 2θ 35.14, 2.554 Å, rel. 41
- 2θ 35.69, 2.516 Å, rel. 40
- 2θ 42.10, 2.146 Å, rel. 20
- 2θ 44.25, 2.047 Å, rel. 23
- 2θ 65.74, 1.420 Å, rel. 30

Atomic structure:
abc: 6.631 6.631 5.335
angles: 102.32 102.32 84.73
Element x y z (fractional)
1 Na 0.000 0.000 0.000
2 Ca 0.399 0.601 0.500
3 Mg 0.610 0.390 0.000
4 Cr 0.796 0.204 0.500
5 Si 0.082 0.495 0.977
6 Si 0.319 0.101 0.516
7 Si 0.505 0.918 0.023
8 Si 0.899 0.681 0.484
9 O 0.037 0.658 0.252
10 O 0.072 0.636 0.749
11 O 0.086 0.194 0.442
12 O 0.315 0.412 0.066
13 O 0.342 0.963 0.748
14 O 0.364 0.928 0.251
15 O 0.503 0.266 0.600
16 O 0.588 0.685 0.934
17 O 0.670 0.102 0.120
18 O 0.734 0.497 0.400
19 O 0.806 0.914 0.558
20 O 0.898 0.330 0.880

Starting from a GGA+U-relaxed structure, the powder X-ray diffraction pattern of NaCaMgCrSi4O12 was computed for Cu Kα (weighted mean of Kα1 and Kα2).
Neutral-atom scattering factors, no anomalous dispersion.

Main lines, by angle (2θ from 15° to 90°):
- 2θ 29.58, 3.020 Å, rel. 100
- 2θ 30.25, 2.954 Å, rel. 39
- 2θ 30.52, 2.929 Å, rel. 19
- 2θ 34.79, 2.579 Å, rel. 26
- 2θ 35.09, 2.557 Å, rel. 41
- 2θ 35.68, 2.517 Å, rel. 39
- 2θ 42.09, 2.147 Å, rel. 20
- 2θ 55.69, 1.650 Å, rel. 17
- 2θ 56.28, 1.635 Å, rel. 17
- 2θ 65.72, 1.421 Å, rel. 30

Atomic structure:
abc: 6.633 6.633 16.033
angles: 102.38 102.38 84.60
Element x y z (fractional)
1 Na 0.000 0.000 0.000
2 Na 0.600 0.399 0.832
3 Na 0.601 0.400 0.168
4 Ca 0.002 0.998 0.335
5 Ca 0.002 0.998 0.665
6 Ca 0.598 0.402 0.500
7 Mg 0.211 0.789 0.500
8 Mg 0.396 0.602 0.332
9 Mg 0.398 0.604 0.668
10 Cr 0.207 0.790 0.165
11 Cr 0.210 0.793 0.835
12 Cr 0.397 0.603 0.000
13 Si 0.102 0.319 0.841
14 Si 0.103 0.316 0.172
15 Si 0.108 0.320 0.506
16 Si 0.495 0.080 0.662
17 Si 0.496 0.078 0.326
18 Si 0.502 0.082 0.993
19 Si 0.680 0.892 0.494
20 Si 0.681 0.898 0.159
21 Si 0.684 0.897 0.828
22 Si 0.918 0.498 0.007
23 Si 0.920 0.505 0.338
24 Si 0.922 0.504 0.674
25 O 0.101 0.670 0.369
26 O 0.102 0.673 0.707
27 O 0.107 0.663 0.037
28 O 0.189 0.082 0.813
29 O 0.192 0.085 0.477
30 O 0.194 0.082 0.148
31 O 0.262 0.505 0.200
32 O 0.268 0.505 0.871
33 O 0.274 0.498 0.536
34 O 0.327 0.898 0.293
35 O 0.330 0.899 0.631
36 O 0.337 0.893 0.963
37 O 0.404 0.311 0.687
38 O 0.407 0.314 0.018
39 O 0.410 0.310 0.355
40 O 0.495 0.732 0.129
41 O 0.495 0.738 0.800
42 O 0.502 0.726 0.464
43 O 0.639 0.064 0.584
44 O 0.641 0.064 0.918
45 O 0.643 0.055 0.252
46 O 0.662 0.036 0.084
47 O 0.664 0.035 0.418
48 O 0.671 0.032 0.749
49 O 0.686 0.593 0.982
50 O 0.689 0.596 0.313
51 O 0.690 0.590 0.645
52 O 0.915 0.808 0.523
53 O 0.918 0.806 0.852
54 O 0.918 0.811 0.187
55 O 0.936 0.359 0.082
56 O 0.936 0.361 0.416
57 O 0.945 0.357 0.748
58 O 0.964 0.338 0.916
59 O 0.965 0.336 0.582
60 O 0.968 0.329 0.251